[1]
This entry pairs a crystal structure of Pm7ErSc4 with its computed XRD peak list. Radiation: λ = 1.5418 Å (Cu Kα). Structure: the PBE geometry in Alexandria.

Cell and atoms:
```
data_Pm7ErSc4
_chemical_formula_sum 'Pm7 Er1 Sc4'
_cell_length_a 6.139
_cell_length_b 7.076
_cell_length_c 8.696
_cell_angle_alpha 90.00
_cell_angle_beta 103.60
_cell_angle_gamma 90.01
_space_group_name_H-M_alt 'P -1'
_space_group_IT_number 2
loop_
_space_group_symop_operation_xyz
'x,y,z'
'-x,-y,-z'
loop_
_atom_site_label
_atom_site_type_symbol
_atom_site_fract_x
_atom_site_fract_y
_atom_site_fract_z
Pm1 Pm 0.000 0.000 0.000
Pm2 Pm 0.223 0.499 0.664
Pm3 Pm 0.288 0.755 0.340
Pm4 Pm 0.497 0.243 0.009
Er1 Er 0.000 0.500 0.000
Sc1 Sc 0.214 0.001 0.659
Sc2 Sc 0.272 0.242 0.337
```

Top 12 peaks for 2θ = 15–90°, in order of rising 2θ:
2θ = 29.34°, I = 53, hkl 1 2 0; 2θ = 31.76°, I = 48, hkl 0 0 3; 2θ = 32.43°, I = 100, hkl 2 0 -2; 2θ = 34.17°, I = 94, hkl 2 0 1; 2θ = 40.95°, I = 17, hkl 1 2 -3; 2θ = 46.47°, I = 17, hkl 1 2 3; 2θ = 51.62°, I = 36, hkl -3 2 1; 2θ = 55.87°, I = 20, hkl 2 0 -5; 2θ = 59.25°, I = 20, hkl 2 0 4; 2θ = 61.90°, I = 41, hkl -3 2 4; 2θ = 62.33°, I = 10, hkl 2 4 -2; 2θ = 63.40°, I = 10, hkl 2 4 1

---

[2]
This entry pairs a crystal structure of Pm8ErSc5 with its computed XRD peak list. Radiation: λ = 1.5418 Å (Cu Kα). Structure: the PBE geometry in Alexandria.

Cell and atoms:
```
data_Pm8ErSc5
_chemical_formula_sum 'Pm8 Er1 Sc5'
_cell_length_a 8.253
_cell_length_b 8.259
_cell_length_c 8.496
_cell_angle_alpha 115.70
_cell_angle_beta 117.12
_cell_angle_gamma 94.82
_space_group_name_H-M_alt 'P 1'
_space_group_IT_number 1
loop_
_space_group_symop_operation_xyz
'x,y,z'
loop_
_atom_site_label
_atom_site_type_symbol
_atom_site_fract_x
_atom_site_fract_y
_atom_site_fract_z
Pm1 Pm 0.000 0.000 0.000
Pm2 Pm 0.046 0.581 0.271
Pm3 Pm 0.124 0.012 0.622
Pm4 Pm 0.197 0.660 0.856
Pm5 Pm 0.509 0.437 0.586
Pm6 Pm 0.588 0.163 0.234
Pm7 Pm 0.713 0.785 0.125
Pm8 Pm 0.857 0.248 0.733
Er1 Er 0.572 0.307 0.927
Sc1 Sc 0.054 0.283 0.430
Sc2 Sc 0.315 0.421 0.134
Sc3 Sc 0.388 0.935 0.384
Sc4 Sc 0.486 0.843 0.724
Sc5 Sc 0.746 0.665 0.472
```

Top 12 peaks for 2θ = 15–90°, in order of rising 2θ:
2θ = 21.10°, I = 41, hkl 1 1 0; 2θ = 25.91°, I = 57, hkl 2 0 0; 2θ = 31.17°, I = 39, hkl -1 2 1; 2θ = 31.85°, I = 53, hkl 1 -1 2; 2θ = 32.04°, I = 41, hkl 2 2 -2; 2θ = 32.23°, I = 84, hkl 1 1 1; 2θ = 32.36°, I = 29, hkl -2 2 1; 2θ = 32.65°, I = 52, hkl 2 1 -3; 2θ = 32.87°, I = 34, hkl 2 -2 1; 2θ = 33.52°, I = 100, hkl 0 3 -2; 2θ = 36.23°, I = 34, hkl 1 -3 0; 2θ = 62.55°, I = 30, hkl 2 0 3

---

[3]
This entry pairs a crystal structure of PmEr12Sc2 with its computed XRD peak list. Radiation: λ = 1.5418 Å (Cu Kα). Structure: the PBE geometry in Alexandria.

Cell and atoms:
```
data_PmEr12Sc2
_chemical_formula_sum 'Pm2 Er24 Sc4'
_cell_length_a 3.557
_cell_length_b 46.174
_cell_length_c 5.556
_cell_angle_alpha 90.00
_cell_angle_beta 90.00
_cell_angle_gamma 90.00
_space_group_name_H-M_alt 'C m m m'
_space_group_IT_number 65
_space_group_name_Hall '-C 2 2'
loop_
_atom_site_label
_atom_site_type_symbol
_atom_site_fract_x
_atom_site_fract_y
_atom_site_fract_z
Pm1 Pm 0.000 0.000 0.000
Er1 Er 0.000 0.098 0.500
Er2 Er 0.000 0.221 0.500
Er3 Er 0.000 0.290 0.000
Er4 Er 0.000 0.339 0.500
Er5 Er 0.000 0.423 0.000
Er6 Er 0.000 0.466 0.500
Sc1 Sc 0.000 0.143 0.000
```

Top 12 peaks for 2θ = 15–90°, in order of rising 2θ:
2θ = 30.58°, I = 24, hkl 1 9 0; 2θ = 30.99°, I = 19, hkl 0 16 0; 2θ = 31.55°, I = 28, hkl 0 14 1; 2θ = 32.22°, I = 52, hkl 0 0 2; 2θ = 32.83°, I = 100, hkl 1 7 1; 2θ = 34.67°, I = 35, hkl 1 9 1; 2θ = 35.04°, I = 24, hkl 0 16 1; 2θ = 45.02°, I = 18, hkl 1 9 2; 2θ = 45.31°, I = 13, hkl 0 16 2; 2θ = 51.37°, I = 14, hkl 2 0 0; 2θ = 57.85°, I = 20, hkl 1 7 3; 2θ = 61.95°, I = 16, hkl 2 0 2

---

[4]
This entry pairs a crystal structure of PmEr2Sc with its computed XRD peak list. Radiation: λ = 1.5418 Å (Cu Kα). Structure: the PBE geometry in Alexandria.

Cell and atoms:
```
data_PmEr2Sc
_chemical_formula_sum 'Pm2 Er4 Sc2'
_cell_length_a 6.085
_cell_length_b 3.511
_cell_length_c 11.398
_cell_angle_alpha 90.00
_cell_angle_beta 100.25
_cell_angle_gamma 90.00
_space_group_name_H-M_alt 'C 1 m 1'
_space_group_IT_number 8
loop_
_space_group_symop_operation_xyz
'x,y,z'
'x,-y,z'
'x+1/2,y+1/2,z'
'x+1/2,-y+1/2,z'
loop_
_atom_site_label
_atom_site_type_symbol
_atom_site_fract_x
_atom_site_fract_y
_atom_site_fract_z
Pm1 Pm 0.000 0.000 0.000
Er1 Er 0.077 0.500 0.735
Er2 Er 0.419 0.000 0.261
Sc1 Sc 0.165 0.000 0.497
```

Top 12 peaks for 2θ = 15–90°, in order of rising 2θ:
2θ = 15.80°, I = 17, hkl 0 0 2; 2θ = 29.85°, I = 61, hkl 2 0 0; 2θ = 31.92°, I = 46, hkl 0 0 4; 2θ = 32.30°, I = 98, hkl 1 1 -2; 2θ = 34.91°, I = 100, hkl 1 1 2; 2θ = 48.26°, I = 26, hkl 2 0 4; 2θ = 52.08°, I = 37, hkl 0 2 0; 2θ = 60.49°, I = 22, hkl 1 1 6; 2θ = 62.39°, I = 40, hkl 3 1 -5; 2θ = 62.62°, I = 15, hkl 4 0 -3; 2θ = 64.23°, I = 17, hkl 4 0 1; 2θ = 87.18°, I = 16, hkl 4 2 1

---

[5]
This entry pairs a crystal structure of Pm5Er3Sc2 with its computed XRD peak list. Radiation: λ = 1.5418 Å (Cu Kα). Structure: the PBE geometry in Alexandria.

Cell and atoms:
```
data_Pm5Er3Sc2
_chemical_formula_sum 'Pm10 Er6 Sc4'
_cell_length_a 9.321
_cell_length_b 9.322
_cell_length_c 9.341
_cell_angle_alpha 106.52
_cell_angle_beta 106.85
_cell_angle_gamma 115.07
_space_group_name_H-M_alt 'P -1'
_space_group_IT_number 2
loop_
_space_group_symop_operation_xyz
'x,y,z'
'-x,-y,-z'
loop_
_atom_site_label
_atom_site_type_symbol
_atom_site_fract_x
_atom_site_fract_y
_atom_site_fract_z
Pm1 Pm 0.022 0.075 0.345
Pm2 Pm 0.129 0.379 0.751
Pm3 Pm 0.228 0.677 0.155
Pm4 Pm 0.378 0.127 0.249
Pm5 Pm 0.474 0.428 0.653
Er1 Er 0.076 0.228 0.053
Er2 Er 0.276 0.822 0.848
Er3 Er 0.323 0.973 0.553
Sc1 Sc 0.169 0.523 0.450
Sc2 Sc 0.425 0.274 0.949
```

Top 12 peaks for 2θ = 15–90°, in order of rising 2θ:
2θ = 19.90°, I = 15, hkl 1 -2 0; 2θ = 30.99°, I = 100, hkl 0 2 1; 2θ = 31.10°, I = 97, hkl 3 -1 0; 2θ = 35.89°, I = 33, hkl 2 2 -2; 2θ = 36.05°, I = 65, hkl 1 -1 3; 2θ = 51.76°, I = 35, hkl 3 1 1; 2θ = 51.81°, I = 24, hkl 1 3 -5; 2θ = 61.50°, I = 21, hkl 5 1 -2; 2θ = 61.60°, I = 27, hkl 1 1 4; 2θ = 61.82°, I = 27, hkl 4 -2 3; 2θ = 64.59°, I = 12, hkl 0 4 2; 2θ = 84.54°, I = 14, hkl 1 -7 0

---

[6]
This entry pairs a crystal structure of PmEr2Sc3 with its computed XRD peak list. Radiation: λ = 1.5418 Å (Cu Kα). Structure: the PBE geometry in Alexandria.

Cell and atoms:
```
data_PmEr2Sc3
_chemical_formula_sum 'Pm2 Er4 Sc6'
_cell_length_a 5.951
_cell_length_b 3.441
_cell_length_c 16.571
_cell_angle_alpha 90.00
_cell_angle_beta 96.87
_cell_angle_gamma 90.00
_space_group_name_H-M_alt 'P 1 21/m 1'
_space_group_IT_number 11
loop_
_space_group_symop_operation_xyz
'x,y,z'
'-x,-y,-z'
'-x,y+1/2,-z'
'x,-y+1/2,z'
loop_
_atom_site_label
_atom_site_type_symbol
_atom_site_fract_x
_atom_site_fract_y
_atom_site_fract_z
Pm1 Pm 0.028 0.250 0.332
Er1 Er 0.250 0.250 0.000
Er2 Er 0.473 0.250 0.667
Sc1 Sc 0.140 0.750 0.165
Sc2 Sc 0.253 0.750 0.501
Sc3 Sc 0.362 0.750 0.834
```

Top 12 peaks for 2θ = 15–90°, in order of rising 2θ:
2θ = 16.16°, I = 95, hkl 0 0 3; 2θ = 30.89°, I = 71, hkl 1 1 1; 2θ = 31.38°, I = 100, hkl 2 0 1; 2θ = 32.65°, I = 74, hkl 0 0 6; 2θ = 33.41°, I = 50, hkl 2 0 2; 2θ = 35.20°, I = 40, hkl 1 1 3; 2θ = 38.42°, I = 60, hkl 1 1 4; 2θ = 39.61°, I = 24, hkl 1 1 -5; 2θ = 52.57°, I = 22, hkl 2 0 7; 2θ = 53.29°, I = 42, hkl 0 2 0; 2θ = 56.06°, I = 25, hkl 3 1 2; 2θ = 63.91°, I = 51, hkl 3 1 5